Starting from a cell relaxed with PBE, the XRD peak list of Cd2P4PdO8 was computed for Cu Ka.
Kinematic intensities with the Lorentz-polarization factor, no thermal factor.

```
Cd2P4PdO8
1.0
0.000 6.145 10.832
6.119 0.000 10.832
6.119 6.145 0.000
Cd P Pd O
4 8 2 16
Direct
0.000 0.000 0.000 Cd
0.000 0.000 0.500 Cd
0.000 0.500 0.000 Cd
0.500 0.000 0.000 Cd
0.198 0.658 0.326 P
0.318 0.326 0.658 P
0.326 0.318 0.198 P
0.342 0.802 0.682 P
0.658 0.198 0.318 P
0.674 0.682 0.802 P
0.682 0.674 0.342 P
0.802 0.342 0.674 P
0.375 0.375 0.375 Pd
0.625 0.625 0.625 Pd
0.115 0.766 0.170 O
0.145 0.455 0.751 O
0.150 0.751 0.455 O
0.170 0.449 0.115 O
0.234 0.885 0.551 O
0.249 0.850 0.855 O
0.449 0.170 0.766 O
0.455 0.145 0.150 O
0.545 0.855 0.850 O
0.551 0.830 0.234 O
0.751 0.150 0.145 O
0.766 0.115 0.449 O
0.830 0.551 0.885 O
0.850 0.249 0.545 O
0.855 0.545 0.249 O
0.885 0.234 0.830 O
```

Main lines, low angle first (15 to 90 degrees two-theta):
- 15.97 deg, 5.549 Å, rel. 100
- 16.61 deg, 5.337 Å, rel. 10
- 22.08 deg, 4.025 Å, rel. 8
- 23.30 deg, 3.818 Å, rel. 24
- 26.08 deg, 3.417 Å, rel. 11
- 32.26 deg, 2.775 Å, rel. 24
- 33.53 deg, 2.672 Å, rel. 8
- 33.65 deg, 2.663 Å, rel. 10
- 37.17 deg, 2.419 Å, rel. 10
- 44.30 deg, 2.045 Å, rel. 9